Starting from a DFT-relaxed cell (GGA-PBE, Alexandria), the X-ray powder pattern of Nd3UCl3O6 was calculated for Cu Kα.
Kinematic intensities with the Lorentz-polarization factor, no thermal factor.

Main lines, low angle first (2θ from 10° to 90°):
2θ 10.78, I 60; 2θ 24.66, I 45; 2θ 26.98, I 56; 2θ 28.79, I 28; 2θ 32.08, I 29; 2θ 33.05, I 100; 2θ 43.64, I 33; 2θ 46.50, I 22; 2θ 51.23, I 33; 2θ 57.81, I 20

```
data_Nd3UCl3O6
_cell_length_a 9.4722
_cell_length_b 9.4722
_cell_length_c 5.5800
_cell_angle_alpha 90.00
_cell_angle_beta 90.00
_cell_angle_gamma 120.00
_space_group_name_H-M_alt 'P 63/m'
_space_group_IT_number 176
_space_group_name_Hall '-P 6c'
loop_
_atom_site_label
_atom_site_fract_x
_atom_site_fract_y
_atom_site_fract_z
Nd1 0.0890 0.6839 0.2500
U1 0.3333 0.6667 0.7500
Cl1 0.0592 0.8107 0.7500
O1 0.1506 0.5168 0.5060
```